(1)
Structure and simulated powder diffraction line list of MnSnO3 (a DFT-relaxed cell (PBE+U, the Materials Project); CuKα).
No peak broadening, texture or thermal motion is included.

Structure:
Cell lengths 5.376, 5.796, 6.070 Å; angles 83.20, 75.40, 76.60 degrees
Positions (direct):
Mn 0.102 0.404 0.228
Mn 0.898 0.596 0.772
Sn 0.460 0.239 0.614
Sn 0.540 0.761 0.386
O 0.187 0.324 0.891
O 0.245 0.583 0.462
O 0.369 0.115 0.346
O 0.631 0.885 0.654
O 0.755 0.417 0.538
O 0.813 0.676 0.109

Most intense lines, 5° ≤ 2θ ≤ 70°, by angle:
- 2θ 15.11, intensity 100
- 2θ 17.44, intensity 43
- 2θ 20.28, intensity 41
- 2θ 20.94, intensity 78
- 2θ 25.72, intensity 48
- 2θ 28.55, intensity 29
- 2θ 31.77, intensity 41
- 2θ 32.66, intensity 46
- 2θ 32.99, intensity 32
- 2θ 41.95, intensity 34

***

(2)
Structure and simulated powder diffraction line list of Ni2As2O7 (a DFT-relaxed cell (PBE+U, the Materials Project); CuKα).
No peak broadening, texture or thermal motion is included.

Structure:
Cell lengths 5.370, 7.683, 10.325 Å; angles 72.45, 76.01, 84.73 degrees
Positions (direct):
Ni 0.000 0.000 0.000
Ni 0.131 0.601 0.211
Ni 0.283 0.710 0.659
Ni 0.443 0.333 0.873
Ni 0.635 0.360 0.334
Ni 0.789 0.948 0.545
As 0.192 0.166 0.227
As 0.251 0.137 0.658
As 0.548 0.783 0.901
As 0.574 0.796 0.312
As 0.860 0.508 0.563
As 0.885 0.414 0.987
O 0.007 0.699 0.557
O 0.044 0.331 0.647
O 0.087 0.973 0.634
O 0.136 0.512 0.854
O 0.165 0.205 0.056
O 0.267 0.784 0.022
O 0.291 0.120 0.822
O 0.350 0.340 0.239
O 0.392 0.975 0.224
O 0.417 0.610 0.316
O 0.521 0.834 0.730
O 0.532 0.184 0.534
O 0.550 0.818 0.474
O 0.558 0.477 0.668
O 0.604 0.541 0.935
O 0.752 0.224 0.973
O 0.806 0.874 0.914
O 0.874 0.468 0.141
O 0.875 0.492 0.399
O 0.875 0.832 0.206
O 0.906 0.120 0.344

Most intense lines, 5° ≤ 2θ ≤ 70°, by angle:
- 2θ 20.72, intensity 13
- 2θ 27.96, intensity 100
- 2θ 28.29, intensity 28
- 2θ 28.48, intensity 60
- 2θ 30.11, intensity 62
- 2θ 34.86, intensity 21
- 2θ 35.30, intensity 20
- 2θ 54.58, intensity 17
- 2θ 55.67, intensity 14
- 2θ 61.08, intensity 13

***

(3)
Structure and simulated powder diffraction line list of CoGeO6F6 (a DFT-relaxed cell (PBE+U, the Materials Project); CuKα).
No peak broadening, texture or thermal motion is included.

Structure:
Cell lengths 6.023, 8.716, 7.690 Å; angles 90.00, 104.92, 90.00 degrees
Positions (direct):
Co 0.000 0.000 0.000
Co 0.000 0.500 0.500
Ge 0.500 0.000 0.500
Ge 0.500 0.500 0.000
O 0.059 0.026 0.785
O 0.059 0.474 0.285
O 0.170 0.162 0.094
O 0.170 0.338 0.594
O 0.258 0.613 0.534
O 0.258 0.887 0.034
O 0.742 0.113 0.966
O 0.742 0.387 0.466
O 0.830 0.662 0.406
O 0.830 0.838 0.906
O 0.941 0.526 0.715
O 0.941 0.974 0.215
F 0.234 0.612 0.958
F 0.234 0.888 0.458
F 0.332 0.167 0.392
F 0.332 0.333 0.892
F 0.460 0.059 0.717
F 0.460 0.441 0.217
F 0.540 0.559 0.783
F 0.540 0.941 0.283
F 0.668 0.667 0.108
F 0.668 0.833 0.608
F 0.766 0.112 0.542
F 0.766 0.388 0.042

Most intense lines, 5° ≤ 2θ ≤ 70°, by angle:
- 2θ 19.63, intensity 100
- 2θ 20.38, intensity 46
- 2θ 23.98, intensity 70
- 2θ 37.11, intensity 42
- 2θ 37.96, intensity 20
- 2θ 52.46, intensity 12
- 2θ 52.81, intensity 8
- 2θ 53.63, intensity 9
- 2θ 53.99, intensity 7
- 2θ 55.52, intensity 9

***

(4)
Structure and simulated powder diffraction line list of LiVP2O8 (a DFT-relaxed cell (PBE+U, the Materials Project); CuKα).
No peak broadening, texture or thermal motion is included.

Structure:
Cell lengths 5.013, 5.013, 13.926 Å; angles 95.29, 95.29, 55.82 degrees
Positions (direct):
Li 0.069 0.931 0.750
Li 0.931 0.069 0.250
V 0.000 0.000 0.000
V 0.000 0.000 0.500
P 0.321 0.361 0.116
P 0.361 0.321 0.616
P 0.639 0.679 0.384
P 0.679 0.639 0.884
O 0.062 0.290 0.076
O 0.142 0.737 0.116
O 0.218 0.473 0.711
O 0.218 0.582 0.537
O 0.263 0.858 0.384
O 0.290 0.062 0.576
O 0.418 0.782 0.963
O 0.473 0.218 0.211
O 0.527 0.782 0.789
O 0.582 0.218 0.037
O 0.710 0.938 0.424
O 0.737 0.142 0.616
O 0.782 0.418 0.463
O 0.782 0.527 0.289
O 0.858 0.263 0.884
O 0.938 0.710 0.924

Most intense lines, 5° ≤ 2θ ≤ 70°, by angle:
- 2θ 12.78, intensity 80
- 2θ 24.50, intensity 100
- 2θ 25.06, intensity 54
- 2θ 31.14, intensity 7
- 2θ 32.89, intensity 17
- 2θ 36.08, intensity 30
- 2θ 38.19, intensity 19
- 2θ 50.20, intensity 9
- 2θ 51.45, intensity 7
- 2θ 58.79, intensity 12

***

(5)
Structure and simulated powder diffraction line list of LiVSiO4 (a DFT-relaxed cell (PBE+U, the Materials Project); CuKα).
No peak broadening, texture or thermal motion is included.

Structure:
Cell lengths 10.315, 5.157, 13.707 Å; angles 90.00, 90.00, 90.00 degrees
Positions (direct):
Li 0.035 0.063 0.000
Li 0.213 0.552 0.253
Li 0.287 0.552 0.753
Li 0.465 0.063 0.500
Li 0.535 0.937 0.000
Li 0.713 0.448 0.253
Li 0.787 0.448 0.753
Li 0.965 0.937 0.500
V 0.033 0.926 0.750
V 0.216 0.558 0.001
V 0.284 0.558 0.501
V 0.467 0.926 0.250
V 0.533 0.074 0.750
V 0.716 0.442 0.001
V 0.784 0.442 0.501
V 0.967 0.074 0.250
Si 0.032 0.435 0.625
Si 0.217 0.056 0.377
Si 0.283 0.056 0.877
Si 0.468 0.435 0.125
Si 0.532 0.565 0.625
Si 0.717 0.944 0.377
Si 0.783 0.944 0.877
Si 0.968 0.565 0.125
O 0.001 0.123 0.632
O 0.028 0.425 0.223
O 0.039 0.447 0.027
O 0.060 0.995 0.371
O 0.189 0.496 0.620
O 0.216 0.923 0.779
O 0.218 0.926 0.974
O 0.245 0.370 0.381
O 0.255 0.370 0.881
O 0.282 0.926 0.474
O 0.284 0.923 0.279
O 0.311 0.496 0.120
O 0.440 0.995 0.871
O 0.461 0.447 0.527
O 0.472 0.425 0.723
O 0.499 0.123 0.132
O 0.501 0.877 0.632
O 0.528 0.575 0.223
O 0.539 0.553 0.027
O 0.560 0.005 0.371
O 0.689 0.504 0.620
O 0.716 0.077 0.779
O 0.718 0.074 0.974
O 0.745 0.630 0.381
O 0.755 0.630 0.881
O 0.782 0.074 0.474
O 0.784 0.077 0.279
O 0.811 0.504 0.120
O 0.940 0.005 0.871
O 0.961 0.553 0.527
O 0.972 0.575 0.723
O 0.999 0.877 0.132

Most intense lines, 5° ≤ 2θ ≤ 70°, by angle:
- 2θ 21.56, intensity 100
- 2θ 26.05, intensity 11
- 2θ 27.48, intensity 7
- 2θ 31.39, intensity 8
- 2θ 32.55, intensity 7
- 2θ 34.79, intensity 34
- 2θ 37.11, intensity 8
- 2θ 41.17, intensity 7
- 2θ 41.30, intensity 8
- 2θ 53.48, intensity 7

***

(6)
Structure and simulated powder diffraction line list of Li9Mn2Co5O16 (a DFT-relaxed cell (PBE+U, the Materials Project); CuKα).
No peak broadening, texture or thermal motion is included.

Structure:
Cell lengths 5.193, 6.441, 8.619 Å; angles 97.14, 94.32, 95.74 degrees
Positions (direct):
Li 0.000 0.000 0.000
Li 0.000 0.234 0.741
Li 0.006 0.506 0.506
Li 0.253 0.937 0.568
Li 0.499 0.115 0.871
Li 0.499 0.639 0.390
Li 0.506 0.377 0.627
Li 0.513 0.889 0.133
Li 0.998 0.756 0.264
Mn 0.252 0.437 0.069
Mn 0.752 0.566 0.939
Co 0.252 0.189 0.319
Co 0.252 0.695 0.811
Co 0.752 0.066 0.441
Co 0.752 0.315 0.193
Co 0.755 0.817 0.688
O 0.097 0.201 0.514
O 0.106 0.695 0.019
O 0.128 0.952 0.786
O 0.138 0.459 0.280
O 0.366 0.169 0.110
O 0.376 0.661 0.615
O 0.398 0.432 0.863
O 0.404 0.939 0.356
O 0.642 0.332 0.400
O 0.642 0.833 0.908
O 0.648 0.585 0.152
O 0.653 0.082 0.647
O 0.852 0.800 0.477
O 0.856 0.295 0.979
O 0.860 0.545 0.730
O 0.863 0.051 0.232

Most intense lines, 5° ≤ 2θ ≤ 70°, by angle:
- 2θ 18.50, intensity 100
- 2θ 34.87, intensity 17
- 2θ 36.69, intensity 23
- 2θ 37.91, intensity 8
- 2θ 42.01, intensity 31
- 2θ 44.58, intensity 25
- 2θ 44.73, intensity 25
- 2θ 62.91, intensity 22
- 2θ 63.15, intensity 8
- 2θ 65.61, intensity 7